For YTmSb2, a cell relaxed with GGA-PBE gives the computed powder diffractogram in this record (Cu Ka).
Lines closer than 0.1° are merged.

Structural model:
Lattice parameters (Å, degrees): 4.3410 4.3410 7.4206 90.00 90.00 120.00
Space group P-3m1 (No. 164)
One atom of each set of equivalent atoms:
Y1 0.0000 0.0000 0.0000 x1
Tm1 0.0000 0.0000 0.5000 x1
Sb1 0.3333 0.6667 0.7460 x2

Top 10 peaks for 5° ≤ 2θ ≤ 70°, by angle:
two_theta, I_rel, hkl
23.67, 17, 1 0 0
26.58, 65, 0 1 1
33.95, 100, 0 1 2
41.61, 49, 1 1 0
43.81, 17, 1 0 3
49.11, 10, 0 0 4
50.06, 11, 2 0 1
54.74, 25, 2 0 2
66.28, 24, 1 1 4
67.06, 9, 1 2 1